1.
Simulated PXRD pattern
Compound: CrI2NCl
Radiation: λ = 1.5418 Å (Cu Kα)
Structure: a cell relaxed with PBE
Peak positions follow from Bragg's law for the DFT cell and can differ from measured ones.

Structure:
Cell: 5.6364 5.6364 3.5877 Å, 90.00 90.00 90.00°
Space group P4/mmm (No. 123)
Inequivalent atoms, fractional coordinates:
Cr 0.0000 0.0000 0.0000 (multiplicity 1)
I 0.0000 0.5000 0.0000 (multiplicity 2)
N 0.0000 0.0000 0.5000 (multiplicity 1)
Cl 0.5000 0.5000 0.5000 (multiplicity 1)

Principal peaks in the range 2θ from 10° to 90°, low angle first:
d_spacing  2θ/deg  I_rel
3.986  22.31  39
3.588  24.82  48
2.818  31.75  100
2.666  33.61  82
2.216  40.71  52
1.993  45.52  35
1.742  52.53  25
1.596  57.76  33
1.513  61.25  28
1.333  70.65  18

---

2.
Simulated PXRD pattern
Compound: Pr4NdSm3
Radiation: λ = 1.5418 Å (Cu Kα)
Structure: a cell relaxed with PBE
Peak positions follow from Bragg's law for the DFT cell and can differ from measured ones.

Structure:
Cell: 10.4143 7.3504 7.3496 Å, 90.00 90.00 90.00°
Space group Pmna (No. 53)
Inequivalent atoms, fractional coordinates:
Pr 0.0000 0.0000 0.0000 (multiplicity 2)
Pr 0.0000 0.5000 0.5000 (multiplicity 2)
Pr 0.2500 0.2493 0.2500 (multiplicity 4)
Nd 0.0000 0.5000 0.0000 (multiplicity 2)
Sm 0.0000 0.0000 0.5000 (multiplicity 2)
Sm 0.2500 0.2492 0.7500 (multiplicity 4)

Principal peaks in the range 2θ from 10° to 90°, low angle first:
d_spacing  2θ/deg  I_rel
3.003  29.76  100
2.600  34.49  51
1.839  49.58  36
1.568  58.90  43
1.501  61.80  13
1.302  72.63  2
1.299  72.79  4
1.193  80.50  18
1.164  82.96  5
1.162  83.09  11

---

3.
Simulated PXRD pattern
Compound: Sr10P6ClO24F
Radiation: λ = 1.5418 Å (Cu Kα)
Structure: a cell relaxed with PBE
Peak positions follow from Bragg's law for the DFT cell and can differ from measured ones.

Structure:
Cell: 9.9341 9.9341 7.3231 Å, 90.00 90.00 120.00°
Space group P3 (No. 143)
Inequivalent atoms, fractional coordinates:
Sr 0.0000 0.0000 0.0000 (multiplicity 1)
Sr 0.0000 0.0000 0.4958 (multiplicity 1)
Sr 0.0640 0.4097 0.7423 (multiplicity 3)
Sr 0.0953 0.6739 0.2390 (multiplicity 3)
Sr 0.6667 0.3333 0.4828 (multiplicity 1)
Sr 0.6667 0.3333 0.9862 (multiplicity 1)
P 0.3009 0.2688 0.7373 (multiplicity 3)
P 0.3654 0.0718 0.2379 (multiplicity 3)
Cl 0.3333 0.6667 0.5749 (multiplicity 1)
O 0.0008 0.1865 0.2387 (multiplicity 3)
O 0.0625 0.7608 0.5578 (multiplicity 3)
O 0.0837 0.7406 0.8991 (multiplicity 3)
O 0.2125 0.0880 0.7613 (multiplicity 3)
O 0.4194 0.0168 0.0682 (multiplicity 3)
O 0.4206 0.0230 0.4119 (multiplicity 3)
O 0.4504 0.2531 0.2324 (multiplicity 3)
O 0.4800 0.3328 0.7323 (multiplicity 3)
F 0.3333 0.6667 0.1548 (multiplicity 1)

Principal peaks in the range 2θ from 10° to 90°, low angle first:
d_spacing  2θ/deg  I_rel
3.369  26.46  21
3.252  27.43  25
2.972  30.07  100
2.947  30.33  88
2.868  31.19  64
2.055  44.06  40
1.952  46.52  33
1.906  47.72  23
1.877  48.49  22
1.855  49.13  24

---

4.
Simulated PXRD pattern
Compound: Rb3PrCu2Cl9
Radiation: λ = 1.5418 Å (Cu Kα)
Structure: a cell relaxed with PBE
Peak positions follow from Bragg's law for the DFT cell and can differ from measured ones.

Structure:
Cell: 7.2848 7.2848 9.0941 Å, 90.00 90.00 120.00°
Space group P-3m1 (No. 164)
Inequivalent atoms, fractional coordinates:
Rb 0.0000 0.0000 0.0000 (multiplicity 1)
Rb 0.3333 0.6667 0.6954 (multiplicity 2)
Pr 0.0000 0.0000 0.5000 (multiplicity 1)
Cu 0.3333 0.6667 0.1362 (multiplicity 2)
Cl 0.0000 0.5000 0.0000 (multiplicity 3)
Cl 0.1745 0.3489 0.3211 (multiplicity 6)

Principal peaks in the range 2θ from 10° to 90°, low angle first:
d_spacing  2θ/deg  I_rel
5.184  17.11  24
3.689  24.13  63
3.642  24.44  64
2.980  29.98  23
2.592  34.61  100
2.112  42.82  27
2.103  43.01  14
1.844  49.41  28
1.821  50.09  35
1.490  62.31  16

---

5.
Simulated PXRD pattern
Compound: MgGa2Cl8
Radiation: λ = 1.5418 Å (Cu Kα)
Structure: a cell relaxed with PBE
Peak positions follow from Bragg's law for the DFT cell and can differ from measured ones.

Structure:
Cell: 17.8312 8.7716 11.7955 Å, 90.00 127.91 90.00°
Space group C2/c (No. 15)
Inequivalent atoms, fractional coordinates:
Mg 0.0000 0.0102 0.2500 (multiplicity 4)
Ga 0.0830 0.2377 0.5330 (multiplicity 8)
Cl 0.0637 0.2129 0.1736 (multiplicity 8)
Cl 0.0834 0.2072 0.7213 (multiplicity 8)
Cl 0.1473 0.0331 0.5076 (multiplicity 8)
Cl 0.1511 0.4484 0.5550 (multiplicity 8)

Principal peaks in the range 2θ from 10° to 90°, low angle first:
d_spacing  2θ/deg  I_rel
7.443  11.89  42
7.034  12.58  100
5.065  17.51  51
4.888  18.15  84
3.722  23.91  41
3.583  24.85  41
3.517  25.32  53
3.102  28.78  81
2.274  39.63  29
2.068  43.78  39

---

6.
Simulated PXRD pattern
Compound: CaZnAsI
Radiation: λ = 1.5418 Å (Cu Kα)
Structure: a cell relaxed with PBE
Peak positions follow from Bragg's law for the DFT cell and can differ from measured ones.

Structure:
Cell: 4.2717 4.2717 44.6719 Å, 90.00 90.00 120.00°
Space group R-3m (No. 166, hexagonal axes)
Inequivalent atoms, fractional coordinates:
Ca 0.0000 0.0000 0.0780 (multiplicity 6)
Zn 0.0000 0.0000 0.3127 (multiplicity 6)
As 0.0000 0.0000 0.3711 (multiplicity 6)
I 0.0000 0.0000 0.2131 (multiplicity 6)

Principal peaks in the range 2θ from 10° to 90°, low angle first:
d_spacing  2θ/deg  I_rel
3.723  23.90  27
3.650  24.39  69
3.201  27.88  100
2.849  31.40  28
2.518  35.66  32
2.416  37.21  20
2.142  42.18  22
2.136  42.32  77
1.984  45.72  30
1.853  49.18  23